Calculated X-ray powder pattern
Compound: Nd3Bi2Sb
Radiation: Cu Kα, 1.54184 Å
Structure: a PBE-relaxed structure
No peak broadening, texture or thermal motion is included.

Principal peaks in the range 2θ = 10–90°, low angle first:
d 5.856, rel. 2; d 3.740, rel. 2; d 3.285, rel. 2; d 3.239, rel. 100; d 2.290, rel. 78; d 1.870, rel. 28; d 1.619, rel. 13; d 1.448, rel. 37; d 1.322, rel. 27; d 1.145, rel. 9

Structural model:
Unit cell a=7.9355 b=7.9355 c=7.9355 alpha=146.45 beta=131.86 gamma=59.95
Fractional positions:
1 Nd 0.0000 0.0000 0.0000
2 Nd 0.3370 0.3370 0.0000
3 Nd 0.6630 0.6630 0.0000
4 Bi 0.1678 0.6678 0.5000
5 Bi 0.8322 0.3322 0.5000
6 Sb 0.5000 0.0000 0.5000

=====

Calculated X-ray powder pattern
Compound: CsErCo2Cl8
Radiation: Cu Kα, 1.54184 Å
Structure: a PBE-relaxed structure
No peak broadening, texture or thermal motion is included.

Principal peaks in the range 2θ = 10–90°, low angle first:
d 6.006, rel. 46; d 5.328, rel. 100; d 4.008, rel. 81; d 3.746, rel. 73; d 3.635, rel. 43; d 3.191, rel. 65; d 2.953, rel. 45; d 2.663, rel. 34; d 2.003, rel. 34; d 1.912, rel. 36

Structural model:
Unit cell a=6.4826 b=6.4826 c=10.1980 alpha=95.78 beta=95.78 gamma=68.22
Fractional positions:
1 Cs 0.0000 0.0000 0.0000
2 Er 0.0000 0.0000 0.5000
3 Co 0.3839 0.3839 0.7015
4 Co 0.6161 0.6161 0.2985
5 Cl 0.2361 0.7373 0.3100
6 Cl 0.2450 0.2450 0.5141
7 Cl 0.2627 0.7639 0.6900
8 Cl 0.3148 0.3148 0.8948
9 Cl 0.6852 0.6852 0.1052
10 Cl 0.7373 0.2361 0.3100
11 Cl 0.7550 0.7550 0.4859
12 Cl 0.7639 0.2627 0.6900

=====

Calculated X-ray powder pattern
Compound: SrCd2Ge
Radiation: Cu Kα, 1.54184 Å
Structure: a PBE-relaxed structure
No peak broadening, texture or thermal motion is included.

Principal peaks in the range 2θ = 10–90°, low angle first:
d 3.151, rel. 43; d 3.023, rel. 100; d 2.786, rel. 86; d 2.715, rel. 53; d 2.362, rel. 81; d 2.295, rel. 46; d 2.228, rel. 95; d 1.740, rel. 41; d 1.598, rel. 29; d 1.575, rel. 31

Structural model:
Unit cell a=4.4556 b=4.4556 c=10.7096 alpha=90.00 beta=90.00 gamma=90.00
Fractional positions:
1 Sr 0.2500 0.2500 0.2475
2 Sr 0.7500 0.7500 0.7525
3 Cd 0.2500 0.2500 0.9403
4 Cd 0.2500 0.7500 0.5000
5 Cd 0.7500 0.2500 0.5000
6 Cd 0.7500 0.7500 0.0597
7 Ge 0.2500 0.2500 0.6666
8 Ge 0.7500 0.7500 0.3334